Entry 1:
Zr7Tl3Bi: theoretical XRD peak list (Cu Kα X-rays), based on a cell relaxed with GGA-PBE.
Peak positions follow from Bragg's law for the DFT cell and can differ from measured ones.

Structure:
Unit cell a=7.619 b=7.619 c=7.619 alpha=137.77 beta=104.55 gamma=90.48
Positions (direct):
Zr 0.000 0.000 0.000
Zr 0.092 0.763 0.329
Zr 0.316 0.500 0.816
Zr 0.434 0.763 0.671
Zr 0.566 0.237 0.329
Zr 0.684 0.500 0.184
Zr 0.908 0.237 0.671
Tl 0.272 0.272 0.000
Tl 0.500 0.000 0.500
Tl 0.728 0.728 0.000
Bi 0.000 0.500 0.500

Peak list (10 most intense, 5 to 70 degrees two-theta, by angle)
2θ (°)	intensity
19.0	27
25.1	35
32.6	49
33.4	42
35.6	13
37.2	100
47.4	31
51.5	14
61.3	25
62.2	17

***

Entry 2:
Sr4Li2Pt: theoretical XRD peak list (Cu Kα X-rays), based on a cell relaxed with GGA-PBE.
Peak positions follow from Bragg's law for the DFT cell and can differ from measured ones.

Structure:
Unit cell a=9.690 b=9.690 c=9.690 alpha=144.78 beta=144.78 gamma=50.67
Positions (direct):
Sr 0.000 0.500 0.500
Sr 0.174 0.174 0.000
Sr 0.500 0.000 0.500
Sr 0.826 0.826 0.000
Li 0.377 0.377 0.000
Li 0.623 0.623 0.000
Pt 0.000 0.000 0.000

Peak list (10 most intense, 5 to 70 degrees two-theta, by angle)
2θ (°)	intensity
10.1	69
15.9	100
20.3	18
29.7	34
30.5	47
30.6	22
32.2	19
34.6	31
43.1	24
43.7	50

***

Entry 3:
Nb2Al4Co: theoretical XRD peak list (Cu Kα X-rays), based on a cell relaxed with GGA-PBE.
Peak positions follow from Bragg's law for the DFT cell and can differ from measured ones.

Structure:
Unit cell a=7.195 b=7.195 c=7.195 alpha=143.66 beta=143.66 gamma=52.34
Positions (direct):
Nb 0.111 0.111 0.000
Nb 0.889 0.889 0.000
Al 0.000 0.500 0.500
Al 0.319 0.319 0.000
Al 0.500 0.000 0.500
Al 0.681 0.681 0.000
Co 0.500 0.500 0.000

Peak list (10 most intense, 5 to 70 degrees two-theta, by angle)
2θ (°)	intensity
13.7	35
21.0	14
28.1	59
28.7	19
39.8	23
40.2	100
42.7	8
50.1	8
58.2	51
65.8	10

***

Entry 4:
LiThH6Rh2: theoretical XRD peak list (Cu Kα X-rays), based on a cell relaxed with GGA-PBE.
Peak positions follow from Bragg's law for the DFT cell and can differ from measured ones.

Structure:
Unit cell a=5.631 b=5.631 c=5.631 alpha=48.03 beta=48.03 gamma=48.03
Positions (direct):
Li 0.000 0.000 0.000
Th 0.500 0.500 0.500
H 0.057 0.057 0.588
H 0.057 0.588 0.057
H 0.412 0.943 0.943
H 0.588 0.057 0.057
H 0.943 0.412 0.943
H 0.943 0.943 0.412
Rh 0.294 0.294 0.294
Rh 0.706 0.706 0.706

Peak list (10 most intense, 5 to 70 degrees two-theta, by angle)
2θ (°)	intensity
23.2	100
33.0	59
37.7	72
39.3	67
46.1	18
52.2	16
54.5	18
55.6	23
62.2	14
67.3	16